1.
Diffraction record for Ba2VCu2O6. The powder diffractogram is simulated, not measured: it uses a PBE+U-relaxed structure and a wavelength of 1.5418 Å.

Crystal structure
Lattice parameters (Å, degrees): 5.8800 5.8800 15.7526 90.00 90.00 120.00
Space group R-3m (No. 166, hexagonal axes)
Unique sites:
Ba (0.0000, 0.0000, 0.2244) x6
V (0.0000, 0.0000, 0.0000) x3
Cu (0.0000, 0.0000, 0.4176) x6
O (0.0347, 0.5173, 0.7416) x18

Top 10 peaks for 15 to 90 degrees two-theta, by angle:
2θ 28.66, d = 3.115 Å, rel. 17, (1 0 4); 2θ 30.40, d = 2.940 Å, rel. 100, (1 1 0); 2θ 33.45, d = 2.679 Å, rel. 54, (0 1 5); 2θ 37.11, d = 2.423 Å, rel. 16, (2 0 2); 2θ 42.27, d = 2.138 Å, rel. 18, (0 2 4); 2θ 45.82, d = 1.980 Å, rel. 20, (2 0 5); 2θ 54.02, d = 1.697 Å, rel. 19, (3 0 0); 2θ 55.99, d = 1.642 Å, rel. 28, (1 2 5); 2θ 61.67, d = 1.504 Å, rel. 17, (1 1 9); 2θ 63.26, d = 1.470 Å, rel. 18, (2 2 0)

2.
Diffraction record for Ba4YCuW2O12. The powder diffractogram is simulated, not measured: it uses a PBE+U-relaxed structure and a wavelength of 1.5418 Å.

Crystal structure
Lattice parameters (Å, degrees): 5.9583 5.9583 8.5009 90.00 90.00 90.00
Space group P4/mmm (No. 123)
Unique sites:
Ba (0.0000, 0.5000, 0.2336) x4
Y (0.0000, 0.0000, 0.5000) x1
Cu (0.5000, 0.5000, 0.0000) x1
W (0.0000, 0.0000, 0.0000) x1
W (0.5000, 0.5000, 0.5000) x1
O (0.0000, 0.0000, 0.2346) x2
O (0.2313, 0.2313, 0.0000) x4
O (0.2655, 0.2655, 0.5000) x4
O (0.5000, 0.5000, 0.2727) x2

Top 10 peaks for 15 to 90 degrees two-theta, by angle:
2θ 18.18, d = 4.879 Å, rel. 17, (1 0 1); 2θ 29.86, d = 2.992 Å, rel. 100, (1 1 2); 2θ 29.99, d = 2.979 Å, rel. 51, (2 0 0); 2θ 42.54, d = 2.125 Å, rel. 14, (0 0 4); 2θ 42.93, d = 2.107 Å, rel. 30, (2 2 0); 2θ 52.92, d = 1.730 Å, rel. 19, (2 0 4); 2θ 53.17, d = 1.723 Å, rel. 40, (3 1 2); 2θ 62.03, d = 1.496 Å, rel. 17, (2 2 4); 2θ 70.67, d = 1.333 Å, rel. 18, (4 2 0); 2θ 86.35, d = 1.127 Å, rel. 11, (5 1 2)